Starting from a crystal structure in Alexandria, relaxed with GGA-PBE, the X-ray diffraction stick pattern of PmH8Pd4Rh was simulated for CuKα.

Cell and atoms:
Unit cell a=5.7611 b=5.7611 c=14.1244 alpha=90.00 beta=90.00 gamma=120.00
Space group R3m (No. 160, hexagonal axes)
Symmetry-distinct sites (fractional):
Pm: 0.0000 0.0000 0.0000 (multiplicity 3)
H: 0.0000 0.0000 0.3858 (multiplicity 3)
H: 0.0000 0.0000 0.8407 (multiplicity 3)
H: 0.0994 0.5497 0.3781 (multiplicity 9)
H: 0.1784 0.3568 0.2116 (multiplicity 9)
Pd: 0.0000 0.0000 0.2493 (multiplicity 3)
Pd: 0.0053 0.5027 0.1266 (multiplicity 9)
Rh: 0.0000 0.0000 0.6235 (multiplicity 3)

Principal peaks in the range 5 to 70 degrees two-theta, sorted by position:
two_theta	d_spacing	I/Imax
18.9	4.705	2
21.8	4.075	1
31.0	2.881	33
36.6	2.457	100
38.3	2.353	34
44.5	2.037	3
48.7	1.870	1
55.2	1.664	13
58.9	1.568	33
64.7	1.441	28

---

Starting from a crystal structure in Alexandria, relaxed with GGA-PBE, the X-ray diffraction stick pattern of DyU2S4 was simulated for CuKα.

Cell and atoms:
Unit cell a=3.7325 b=12.9580 c=13.2236 alpha=90.00 beta=90.00 gamma=90.00
Space group Cmcm (No. 63)
Symmetry-distinct sites (fractional):
Dy: 0.0000 0.1188 0.2500 (multiplicity 4)
U: 0.0000 0.3640 0.0667 (multiplicity 8)
S: 0.0000 0.0000 0.0000 (multiplicity 4)
S: 0.0000 0.2812 0.6267 (multiplicity 8)
S: 0.0000 0.4626 0.2500 (multiplicity 4)

Principal peaks in the range 5 to 70 degrees two-theta, sorted by position:
two_theta	d_spacing	I/Imax
24.4	3.644	100
25.7	3.462	25
27.5	3.240	29
28.3	3.153	28
31.7	2.824	18
32.4	2.762	27
34.5	2.597	46
42.5	2.129	33
46.8	1.939	23
55.3	1.661	25

---

Starting from a crystal structure in Alexandria, relaxed with GGA-PBE, the X-ray diffraction stick pattern of Mg2UPaO8 was simulated for CuKα.

Cell and atoms:
Unit cell a=6.6197 b=6.7437 c=7.0265 alpha=90.00 beta=90.00 gamma=90.00
Space group Cmmm (No. 65)
Symmetry-distinct sites (fractional):
Mg: 0.0000 0.0000 0.2472 (multiplicity 4)
U: 0.0000 0.5000 0.0000 (multiplicity 2)
Pa: 0.0000 0.5000 0.5000 (multiplicity 2)
O: 0.0000 0.3073 0.2429 (multiplicity 8)
O: 0.1904 0.0000 0.5000 (multiplicity 4)
O: 0.2015 0.0000 0.0000 (multiplicity 4)

Principal peaks in the range 5 to 70 degrees two-theta, sorted by position:
two_theta	d_spacing	I/Imax
18.8	4.724	100
25.4	3.513	25
26.4	3.372	38
26.9	3.310	36
31.7	2.819	74
37.0	2.433	32
38.1	2.362	18
46.3	1.960	21
50.1	1.820	29
50.7	1.801	28

---

Starting from a crystal structure in Alexandria, relaxed with GGA-PBE, the X-ray diffraction stick pattern of CeDyHoTm3 was simulated for CuKα.

Cell and atoms:
Unit cell a=4.9719 b=14.8676 c=9.9174 alpha=90.00 beta=90.00 gamma=90.00
Space group Cmcm (No. 63)
Symmetry-distinct sites (fractional):
Ce: 0.0000 0.0002 0.2500 (multiplicity 4)
Dy: 0.0000 0.5000 0.0000 (multiplicity 4)
Ho: 0.0000 0.3324 0.2500 (multiplicity 4)
Tm: 0.0000 0.1653 0.9998 (multiplicity 8)
Tm: 0.0000 0.3327 0.7500 (multiplicity 4)

Principal peaks in the range 5 to 70 degrees two-theta, sorted by position:
two_theta	d_spacing	I/Imax
31.2	2.865	100
36.2	2.483	34
36.3	2.478	17
52.1	1.754	36
61.9	1.498	14
62.1	1.495	28
65.1	1.432	12

---

Starting from a crystal structure in Alexandria, relaxed with GGA-PBE, the X-ray diffraction stick pattern of PrNd2Sm was simulated for CuKα.

Cell and atoms:
Unit cell a=5.7338 b=3.5990 c=13.6229 alpha=90.00 beta=90.00 gamma=90.00
Space group Amm2 (No. 38)
Symmetry-distinct sites (fractional):
Pr: 0.0000 0.0000 0.0000 (multiplicity 2)
Nd: 0.0000 0.0000 0.7440 (multiplicity 2)
Nd: 0.5000 0.0000 0.6187 (multiplicity 2)
Sm: 0.5000 0.0000 0.3594 (multiplicity 2)

Principal peaks in the range 5 to 70 degrees two-theta, sorted by position:
two_theta	d_spacing	I/Imax
30.0	2.975	89
30.5	2.928	100
31.2	2.867	48
31.7	2.821	42
35.5	2.531	16
45.1	2.011	32
54.8	1.675	16
55.1	1.667	19
56.1	1.640	17
60.4	1.533	29

---

Starting from a crystal structure in Alexandria, relaxed with GGA-PBE, the X-ray diffraction stick pattern of Al2Te3 was simulated for CuKα.

Cell and atoms:
Unit cell a=12.9300 b=7.4068 c=8.0766 alpha=90.00 beta=120.53 gamma=90.00
Space group Cc (No. 9)
Symmetry-distinct sites (fractional):
Al: 0.0000 0.0640 0.0000 (multiplicity 4)
Al: 0.1612 0.4052 0.4914 (multiplicity 4)
Te: 0.0257 0.4159 0.1054 (multiplicity 4)
Te: 0.2072 0.0877 0.6403 (multiplicity 4)
Te: 0.3626 0.3986 0.1143 (multiplicity 4)

Principal peaks in the range 5 to 70 degrees two-theta, sorted by position:
two_theta	d_spacing	I/Imax
23.9	3.724	78
25.6	3.478	89
26.9	3.319	83
27.3	3.269	100
27.5	3.249	86
41.9	2.154	30
42.2	2.142	57
46.2	1.965	32
50.4	1.811	43
51.1	1.788	30